# 1
Calculated XRD peak list
Compound: ZnHgC4Se4N4
Radiation: a wavelength of 1.5418 Å
Structure: a structure optimized by DFT (PBE)
Lines closer than 0.1° are merged.

Largest 8 diffraction maxima, in order of rising 2θ, 10 to 90 degrees two-theta:
2theta  I_rel
10.88  66
15.40  41
25.04  100
29.53  37
33.47  30
34.87  23
43.41  23
44.45  38

Atomic structure:
```
ZnHgC4Se4N4
1.0
-5.7527 5.7527 2.4608
5.7527 -5.7527 2.4608
5.7527 5.7527 -2.4608
Zn Hg C Se N
1 1 4 4 4
direct
0.0000 0.0000 0.0000
0.2500 0.7500 0.5000
0.2823 0.5717 0.1431
0.4283 0.5714 0.7106
0.4286 0.1392 0.8569
0.8608 0.7177 0.2894
0.1059 0.3303 0.5414
0.4355 0.8941 0.2245
0.6697 0.2110 0.7755
0.7890 0.5645 0.4586
0.1850 0.3642 0.0873
0.2769 0.0977 0.9127
0.6358 0.7231 0.8207
0.9023 0.8150 0.1793
```


# 2
Calculated XRD peak list
Compound: Rb3ScBr6
Radiation: a wavelength of 1.5418 Å
Structure: a structure optimized by DFT (PBE)
Lines closer than 0.1° are merged.

Largest 8 diffraction maxima, in order of rising 2θ, 10 to 90 degrees two-theta:
2theta  I_rel
14.99  17
21.26  20
26.11  87
30.24  100
43.30  67
51.26  31
53.72  21
71.36  23

Atomic structure:
```
Rb3ScBr6
1.0
0.0000 5.9108 5.9108
5.9108 0.0000 5.9108
5.9108 5.9108 0.0000
Rb Sc Br
3 1 6
direct
0.0000 0.0000 0.0000
0.2500 0.2500 0.2500
0.7500 0.7500 0.7500
0.5000 0.5000 0.5000
0.2751 0.2751 0.7249
0.2751 0.7249 0.2751
0.2751 0.7249 0.7249
0.7249 0.2751 0.2751
0.7249 0.2751 0.7249
0.7249 0.7249 0.2751
```